1.
Ac5Pr2NdTm: computed X-ray powder pattern (Cu Ka), based on the PBE geometry in Alexandria.

```
data_Ac5Pr2NdTm
_chemical_formula_sum 'Ac10 Pr4 Nd2 Tm2'
_cell_length_a 11.969
_cell_length_b 11.969
_cell_length_c 11.969
_cell_angle_alpha 138.50
_cell_angle_beta 138.50
_cell_angle_gamma 60.14
_symmetry_space_group_name_H-M 'P 1'
_symmetry_Int_Tables_number 1
loop_
_symmetry_equiv_pos_as_xyz
'x,y,z'
loop_
_atom_site_label
_atom_site_type_symbol
_atom_site_fract_x
_atom_site_fract_y
_atom_site_fract_z
Ac1 Ac 0.000 0.000 0.000
Ac2 Ac 0.088 0.588 0.951
Ac3 Ac 0.137 0.088 0.500
Ac4 Ac 0.363 0.863 0.951
Ac5 Ac 0.412 0.363 0.500
Ac6 Ac 0.500 0.500 0.000
Ac7 Ac 0.588 0.637 0.500
Ac8 Ac 0.637 0.137 0.049
Ac9 Ac 0.863 0.912 0.500
Ac10 Ac 0.912 0.412 0.049
Pr1 Pr 0.123 0.377 0.500
Pr2 Pr 0.377 0.877 0.255
Pr3 Pr 0.623 0.123 0.745
Pr4 Pr 0.877 0.623 0.500
Nd1 Nd 0.250 0.250 0.000
Nd2 Nd 0.750 0.750 0.000
Tm1 Tm 0.250 0.750 0.500
Tm2 Tm 0.750 0.250 0.500
```

Most intense lines, 10 to 80 degrees two-theta, sorted by position:
26.8°, intensity 20.8; 27.2°, intensity 100.0; 29.8°, intensity 39.8; 33.4°, intensity 12.6; 34.6°, intensity 27.2; 42.7°, intensity 13.7; 46.3°, intensity 21.3; 51.3°, intensity 27.8; 56.0°, intensity 7.9; 72.9°, intensity 7.4



2.
Pr3Dy8Ho: computed X-ray powder pattern (Cu Ka), based on the PBE geometry in Alexandria.

```
data_Pr3Dy8Ho
_chemical_formula_sum 'Pr3 Dy8 Ho1'
_cell_length_a 8.410
_cell_length_b 8.410
_cell_length_c 8.410
_cell_angle_alpha 117.12
_cell_angle_beta 117.12
_cell_angle_gamma 95.06
_symmetry_space_group_name_H-M 'P 1'
_symmetry_Int_Tables_number 1
loop_
_symmetry_equiv_pos_as_xyz
'x,y,z'
loop_
_atom_site_label
_atom_site_type_symbol
_atom_site_fract_x
_atom_site_fract_y
_atom_site_fract_z
Pr1 Pr 0.000 0.000 0.000
Pr2 Pr 0.250 0.750 0.500
Pr3 Pr 0.750 0.250 0.500
Dy1 Dy 0.130 0.380 0.000
Dy2 Dy 0.245 0.245 0.511
Dy3 Dy 0.267 0.755 0.000
Dy4 Dy 0.380 0.130 0.000
Dy5 Dy 0.620 0.620 0.749
Dy6 Dy 0.733 0.733 0.489
Dy7 Dy 0.755 0.267 0.000
Dy8 Dy 0.870 0.870 0.251
Ho1 Ho 0.500 0.500 0.000
```

Most intense lines, 10 to 80 degrees two-theta, sorted by position:
14.3°, intensity 32.7; 24.0°, intensity 69.3; 25.7°, intensity 53.9; 28.8°, intensity 81.5; 31.5°, intensity 73.0; 32.9°, intensity 65.3; 36.0°, intensity 100.0; 43.2°, intensity 52.6; 44.3°, intensity 69.7; 69.0°, intensity 35.8



3.
V4NiRu: computed X-ray powder pattern (Cu Ka), based on the PBE geometry in Alexandria.

```
data_V4NiRu
_chemical_formula_sum 'V4 Ni1 Ru1'
_cell_length_a 4.300
_cell_length_b 4.300
_cell_length_c 5.745
_cell_angle_alpha 111.37
_cell_angle_beta 111.37
_cell_angle_gamma 60.07
_symmetry_space_group_name_H-M 'P 1'
_symmetry_Int_Tables_number 1
loop_
_symmetry_equiv_pos_as_xyz
'x,y,z'
loop_
_atom_site_label
_atom_site_type_symbol
_atom_site_fract_x
_atom_site_fract_y
_atom_site_fract_z
V1 V 0.138 0.138 0.411
V2 V 0.302 0.302 0.905
V3 V 0.698 0.698 0.095
V4 V 0.862 0.862 0.589
Ni1 Ni 0.000 0.000 0.000
Ru1 Ru 0.500 0.500 0.500
```

Most intense lines, 10 to 80 degrees two-theta, sorted by position:
26.6°, intensity 9.3; 33.1°, intensity 9.6; 34.4°, intensity 27.2; 37.3°, intensity 10.8; 37.7°, intensity 21.6; 42.0°, intensity 100.0; 55.1°, intensity 13.4; 55.4°, intensity 12.9; 55.7°, intensity 12.5; 76.8°, intensity 14.8



4.
Ac2NdBe2O6: computed X-ray powder pattern (Cu Ka), based on the PBE geometry in Alexandria.

```
data_Ac2NdBe2O6
_chemical_formula_sum 'Ac2 Nd1 Be2 O6'
_cell_length_a 5.513
_cell_length_b 5.513
_cell_length_c 8.456
_cell_angle_alpha 90.00
_cell_angle_beta 90.00
_cell_angle_gamma 120.00
_symmetry_space_group_name_H-M 'P 1'
_symmetry_Int_Tables_number 1
loop_
_symmetry_equiv_pos_as_xyz
'x,y,z'
loop_
_atom_site_label
_atom_site_type_symbol
_atom_site_fract_x
_atom_site_fract_y
_atom_site_fract_z
Ac1 Ac 0.333 0.667 0.214
Ac2 Ac 0.667 0.333 0.786
Nd1 Nd 0.000 0.000 0.500
Be1 Be 0.333 0.667 0.671
Be2 Be 0.667 0.333 0.329
O1 O 0.068 0.371 0.673
O2 O 0.304 0.932 0.673
O3 O 0.371 0.304 0.327
O4 O 0.629 0.696 0.673
O5 O 0.696 0.068 0.327
O6 O 0.932 0.629 0.327
```

Most intense lines, 10 to 80 degrees two-theta, sorted by position:
21.0°, intensity 11.8; 21.4°, intensity 100.0; 28.2°, intensity 54.0; 32.5°, intensity 36.1; 37.0°, intensity 14.4; 39.2°, intensity 27.3; 43.5°, intensity 15.2; 46.1°, intensity 18.2; 51.8°, intensity 23.0; 55.4°, intensity 15.3